[1]
This entry pairs a crystal structure of MgFe3Ni2SbP6O24 with its computed X-ray powder pattern. Radiation: Cu Kα (λ = 1.5418 Å). Structure: a structure optimized by DFT (PBE+U).
Peak positions follow from Bragg's law for the DFT cell and can differ from measured ones.

Principal peaks in the range 10° ≤ 2θ ≤ 90°, in order of falling intensity:
20.27 deg, rel. 100
23.90 deg, rel. 75
35.48 deg, rel. 43
32.56 deg, rel. 38
46.67 deg, rel. 32
55.48 deg, rel. 24
48.92 deg, rel. 16
55.78 deg, rel. 15
41.57 deg, rel. 12
24.05 deg, rel. 12

Atomic structure:
```
MgFe3Ni2SbP6O24
1.0
4.382 2.530 7.065
-4.382 2.530 7.065
0.000 -5.060 7.065
Mg Fe Ni Sb P O
1 3 2 1 6 24
direct
0.000 0.000 0.000
0.121 0.121 0.121
0.239 0.239 0.239
0.519 0.519 0.519
0.376 0.376 0.376
0.870 0.870 0.870
0.722 0.722 0.722
0.126 0.420 0.816
0.317 0.920 0.619
0.420 0.816 0.126
0.619 0.317 0.920
0.816 0.126 0.420
0.920 0.619 0.317
0.067 0.256 0.869
0.120 0.468 0.306
0.122 0.924 0.768
0.185 0.370 0.983
0.256 0.869 0.067
0.282 0.441 0.623
0.306 0.120 0.468
0.370 0.983 0.185
0.390 0.769 0.536
0.441 0.623 0.282
0.455 0.890 0.705
0.468 0.306 0.120
0.536 0.390 0.769
0.615 0.809 0.964
0.623 0.282 0.441
0.705 0.455 0.890
0.768 0.122 0.924
0.769 0.536 0.390
0.809 0.964 0.615
0.869 0.067 0.256
0.890 0.705 0.455
0.924 0.768 0.122
0.964 0.615 0.809
0.983 0.185 0.370
```

[2]
This entry pairs a crystal structure of Li2MnF4 with its computed X-ray powder pattern. Radiation: Cu Kα (λ = 1.5418 Å). Structure: a structure optimized by DFT (PBE+U).
Peak positions follow from Bragg's law for the DFT cell and can differ from measured ones.

Principal peaks in the range 10° ≤ 2θ ≤ 90°, in order of falling intensity:
33.65 deg, rel. 100
21.30 deg, rel. 81
20.28 deg, rel. 40
57.26 deg, rel. 32
43.91 deg, rel. 32
26.57 deg, rel. 27
36.12 deg, rel. 24
65.81 deg, rel. 18
54.73 deg, rel. 18
53.38 deg, rel. 14

Atomic structure:
```
Li2MnF4
1.0
-2.372 2.372 4.380
2.372 -2.372 4.380
2.372 2.372 -4.380
Li Mn F
2 1 4
direct
0.000 0.000 0.000
0.750 0.250 0.500
0.500 0.500 0.000
0.092 0.613 0.937
0.387 0.323 0.478
0.677 0.155 0.063
0.845 0.908 0.522
```

[3]
This entry pairs a crystal structure of V2ZnO4 with its computed X-ray powder pattern. Radiation: Cu Kα (λ = 1.5418 Å). Structure: a structure optimized by DFT (PBE+U).
Peak positions follow from Bragg's law for the DFT cell and can differ from measured ones.

Principal peaks in the range 10° ≤ 2θ ≤ 90°, in order of falling intensity:
32.55 deg, rel. 100
41.99 deg, rel. 39
44.98 deg, rel. 30
36.26 deg, rel. 19
56.24 deg, rel. 16
63.44 deg, rel. 15
36.67 deg, rel. 15
59.37 deg, rel. 13
55.24 deg, rel. 11
48.46 deg, rel. 10

Atomic structure:
```
V2ZnO4
1.0
2.984 0.000 0.000
0.000 9.802 0.000
0.000 0.000 9.978
V Zn O
8 4 16
direct
0.227 0.118 0.072
0.227 0.118 0.428
0.227 0.382 0.572
0.227 0.382 0.928
0.773 0.618 0.072
0.773 0.618 0.428
0.773 0.882 0.572
0.773 0.882 0.928
0.326 0.640 0.750
0.326 0.860 0.250
0.674 0.140 0.750
0.674 0.360 0.250
0.176 0.215 0.250
0.176 0.285 0.750
0.257 0.019 0.612
0.257 0.019 0.888
0.257 0.481 0.112
0.257 0.481 0.388
0.300 0.750 0.000
0.300 0.750 0.500
0.700 0.250 0.000
0.700 0.250 0.500
0.743 0.519 0.612
0.743 0.519 0.888
0.743 0.981 0.112
0.743 0.981 0.388
0.824 0.715 0.250
0.824 0.785 0.750
```

[4]
This entry pairs a crystal structure of KMn2Mo2O10 with its computed X-ray powder pattern. Radiation: Cu Kα (λ = 1.5418 Å). Structure: a structure optimized by DFT (PBE+U).
Peak positions follow from Bragg's law for the DFT cell and can differ from measured ones.

Principal peaks in the range 10° ≤ 2θ ≤ 90°, in order of falling intensity:
17.22 deg, rel. 100
25.29 deg, rel. 86
22.63 deg, rel. 86
30.01 deg, rel. 66
27.38 deg, rel. 59
33.66 deg, rel. 49
49.29 deg, rel. 44
18.09 deg, rel. 42
11.73 deg, rel. 41
32.96 deg, rel. 33

Atomic structure:
```
KMn2Mo2O10
1.0
5.089 -3.138 0.000
5.089 3.138 0.000
-3.966 0.000 7.544
K Mn Mo O
1 2 2 10
direct
0.000 0.000 0.000
0.000 0.500 0.500
0.500 0.000 0.500
0.431 0.431 0.238
0.569 0.569 0.762
0.194 0.194 0.572
0.217 0.685 0.718
0.304 0.304 0.014
0.315 0.783 0.282
0.329 0.329 0.368
0.671 0.671 0.632
0.685 0.217 0.718
0.696 0.696 0.986
0.783 0.315 0.282
0.806 0.806 0.428
```

[5]
This entry pairs a crystal structure of Li12Mn3FeP4C4O28 with its computed X-ray powder pattern. Radiation: Cu Kα (λ = 1.5418 Å). Structure: a structure optimized by DFT (PBE+U).
Peak positions follow from Bragg's law for the DFT cell and can differ from measured ones.

Principal peaks in the range 10° ≤ 2θ ≤ 90°, in order of falling intensity:
27.04 deg, rel. 100
10.40 deg, rel. 82
21.34 deg, rel. 43
19.90 deg, rel. 34
26.43 deg, rel. 33
36.73 deg, rel. 25
40.19 deg, rel. 20
42.48 deg, rel. 20
36.00 deg, rel. 19
25.30 deg, rel. 19

Atomic structure:
```
Li12Mn3FeP4C4O28
1.0
8.536 0.000 0.000
0.000 6.594 0.000
-0.791 0.000 9.980
Li Mn Fe P C O
12 3 1 4 4 28
direct
0.000 0.000 0.000
0.001 0.000 0.500
0.181 0.500 0.743
0.182 0.500 0.242
0.364 0.276 0.498
0.364 0.724 0.498
0.365 0.276 0.998
0.365 0.724 0.998
0.818 0.223 0.244
0.818 0.223 0.744
0.818 0.777 0.244
0.818 0.777 0.744
0.432 0.000 0.231
0.751 0.500 0.011
0.751 0.500 0.511
0.428 0.000 0.728
0.501 0.500 0.261
0.502 0.500 0.762
0.680 0.000 0.980
0.682 0.000 0.481
0.058 0.500 0.473
0.058 0.500 0.973
0.124 0.000 0.269
0.125 0.000 0.769
0.021 0.500 0.096
0.021 0.500 0.596
0.161 0.000 0.146
0.163 0.000 0.646
0.204 0.500 0.444
0.204 0.500 0.944
0.236 0.000 0.366
0.237 0.000 0.866
0.402 0.316 0.208
0.402 0.684 0.208
0.403 0.314 0.708
0.403 0.686 0.708
0.512 0.000 0.029
0.513 0.000 0.528
0.515 0.500 0.418
0.515 0.500 0.918
0.664 0.000 0.823
0.667 0.000 0.325
0.670 0.500 0.715
0.671 0.500 0.215
0.781 0.184 0.034
0.781 0.184 0.535
0.781 0.816 0.034
0.781 0.816 0.535
0.947 0.500 0.376
0.947 0.500 0.876
0.978 0.000 0.298
0.980 0.000 0.798
```

Repeat the fifth record exactly.
This entry pairs a crystal structure of Li12Mn3FeP4C4O28 with its computed X-ray powder pattern. Radiation: Cu Kα (λ = 1.5418 Å). Structure: a structure optimized by DFT (PBE+U).
Peak positions follow from Bragg's law for the DFT cell and can differ from measured ones.

Principal peaks in the range 10° ≤ 2θ ≤ 90°, in order of falling intensity:
27.04 deg, rel. 100
10.40 deg, rel. 82
21.34 deg, rel. 43
19.90 deg, rel. 34
26.43 deg, rel. 33
36.73 deg, rel. 25
40.19 deg, rel. 20
42.48 deg, rel. 20
36.00 deg, rel. 19
25.30 deg, rel. 19

Atomic structure:
```
Li12Mn3FeP4C4O28
1.0
8.536 0.000 0.000
0.000 6.594 0.000
-0.791 0.000 9.980
Li Mn Fe P C O
12 3 1 4 4 28
direct
0.000 0.000 0.000
0.001 0.000 0.500
0.181 0.500 0.743
0.182 0.500 0.242
0.364 0.276 0.498
0.364 0.724 0.498
0.365 0.276 0.998
0.365 0.724 0.998
0.818 0.223 0.244
0.818 0.223 0.744
0.818 0.777 0.244
0.818 0.777 0.744
0.432 0.000 0.231
0.751 0.500 0.011
0.751 0.500 0.511
0.428 0.000 0.728
0.501 0.500 0.261
0.502 0.500 0.762
0.680 0.000 0.980
0.682 0.000 0.481
0.058 0.500 0.473
0.058 0.500 0.973
0.124 0.000 0.269
0.125 0.000 0.769
0.021 0.500 0.096
0.021 0.500 0.596
0.161 0.000 0.146
0.163 0.000 0.646
0.204 0.500 0.444
0.204 0.500 0.944
0.236 0.000 0.366
0.237 0.000 0.866
0.402 0.316 0.208
0.402 0.684 0.208
0.403 0.314 0.708
0.403 0.686 0.708
0.512 0.000 0.029
0.513 0.000 0.528
0.515 0.500 0.418
0.515 0.500 0.918
0.664 0.000 0.823
0.667 0.000 0.325
0.670 0.500 0.715
0.671 0.500 0.215
0.781 0.184 0.034
0.781 0.184 0.535
0.781 0.816 0.034
0.781 0.816 0.535
0.947 0.500 0.376
0.947 0.500 0.876
0.978 0.000 0.298
0.980 0.000 0.798
```

Copy entry 2 word for word.
This entry pairs a crystal structure of Li2MnF4 with its computed X-ray powder pattern. Radiation: Cu Kα (λ = 1.5418 Å). Structure: a structure optimized by DFT (PBE+U).
Peak positions follow from Bragg's law for the DFT cell and can differ from measured ones.

Principal peaks in the range 10° ≤ 2θ ≤ 90°, in order of falling intensity:
33.65 deg, rel. 100
21.30 deg, rel. 81
20.28 deg, rel. 40
57.26 deg, rel. 32
43.91 deg, rel. 32
26.57 deg, rel. 27
36.12 deg, rel. 24
65.81 deg, rel. 18
54.73 deg, rel. 18
53.38 deg, rel. 14

Atomic structure:
```
Li2MnF4
1.0
-2.372 2.372 4.380
2.372 -2.372 4.380
2.372 2.372 -4.380
Li Mn F
2 1 4
direct
0.000 0.000 0.000
0.750 0.250 0.500
0.500 0.500 0.000
0.092 0.613 0.937
0.387 0.323 0.478
0.677 0.155 0.063
0.845 0.908 0.522
```